1.
Structure and theoretical X-ray diffraction stick pattern of Sr2Ca3Pt2 (a DFT-relaxed cell (GGA-PBE, Alexandria); Cu Kα X-rays).

Most intense lines, 5 to 70 degrees two-theta, in order of rising 2θ:
| hkl | d (Å) | two_theta | Rel. int. |
| --- | --- | --- | --- |
| 2 0 -1 | 6.058 | 14.62 | 43 |
| 2 0 0 | 5.834 | 15.19 | 56 |
| 0 0 2 | 4.079 | 21.79 | 66 |
| 1 1 -1 | 3.788 | 23.49 | 39 |
| 1 1 -2 | 3.069 | 29.10 | 29 |
| 3 1 -1 | 2.997 | 29.81 | 31 |
| 3 1 0 | 2.863 | 31.25 | 100 |
| 3 1 -2 | 2.767 | 32.36 | 87 |
| 1 1 2 | 2.668 | 33.59 | 44 |
| 1 1 -3 | 2.406 | 37.37 | 50 |
| 0 2 0 | 2.114 | 42.77 | 36 |
| 3 1 2 | 2.069 | 43.75 | 31 |

Atomic structure:
abc: 12.781 4.229 8.938
angles: 90.00 114.10 90.00
Space group C2/m (No. 12)
Inequivalent atoms, fractional coordinates:
Sr (0.162, 0.000, 0.306) x4
Ca (0.000, 0.500, 0.500) x2
Ca (0.132, 0.500, 0.930) x4
Pt (0.168, 0.000, 0.722) x4

---

2.
Structure and theoretical X-ray diffraction stick pattern of MnCrS2 (a DFT-relaxed cell (GGA-PBE, Alexandria); Cu Kα X-rays).

Most intense lines, 5 to 70 degrees two-theta, in order of rising 2θ:
| hkl | d (Å) | two_theta | Rel. int. |
| --- | --- | --- | --- |
| 1 1 2 | 2.989 | 29.89 | 100 |
| 0 0 4 | 2.642 | 33.93 | 2 |
| 2 0 0 | 2.563 | 35.01 | 4 |
| 2 0 4 | 1.839 | 49.55 | 40 |
| 2 2 0 | 1.812 | 50.35 | 19 |
| 1 1 6 | 1.584 | 58.24 | 13 |
| 3 1 2 | 1.550 | 59.67 | 23 |
| 2 2 4 | 1.494 | 62.11 | 1 |

Atomic structure:
abc: 5.126 5.126 10.567
angles: 90.00 90.00 90.00
Space group I-42d (No. 122)
Inequivalent atoms, fractional coordinates:
Mn (0.000, 0.000, 0.000) x4
Cr (0.000, 0.000, 0.500) x4
S (0.235, 0.250, 0.125) x8